Simulated powder X-ray diffraction pattern of La3PrDyTm for Cu Kα, 1.54184 Å, from a DFT-relaxed cell (GGA-PBE, Alexandria).

Atomic structure:
Unit cell a=8.1071 b=5.2276 c=10.4367 alpha=90.00 beta=108.85 gamma=90.00
Space group P2_1/m (No. 11)
One atom of each set of equivalent atoms:
La 0.1707 0.2500 0.0420 x2
La 0.1713 0.2500 0.5431 x2
La 0.1736 0.7500 0.2936 x2
Pr 0.1708 0.7500 0.7922 x2
Dy 0.5005 0.2500 0.8758 x2
Tm 0.4986 0.7500 0.6253 x2

Main lines, low angle first (10° ≤ 2θ ≤ 80°):
2θ/deg	d [Å]	I/Imax
29.84	2.994	100.0
34.34	2.611	34.5
35.09	2.557	16.2
49.35	1.847	12.4
49.89	1.828	17.9
58.72	1.572	22.1
59.74	1.548	14.0
61.99	1.497	12.4

---

Simulated powder X-ray diffraction pattern of Ac3GeN2 for Cu Kα, 1.54184 Å, from a DFT-relaxed cell (GGA-PBE, Alexandria).

Atomic structure:
Unit cell a=5.5553 b=13.3163 c=4.2676 alpha=90.00 beta=90.00 gamma=90.00
Space group Pmmn (No. 59, origin choice 2)
One atom of each set of equivalent atoms:
Ac 0.2500 0.0466 0.2496 x4
Ac 0.2500 0.7500 0.7466 x2
Ge 0.2500 0.2500 0.7512 x2
N 0.2500 0.5567 0.7492 x4

Main lines, low angle first (10° ≤ 2θ ≤ 80°):
2θ/deg	d [Å]	I/Imax
21.87	4.064	20.2
25.69	3.468	36.0
29.61	3.017	100.0
32.23	2.778	28.6
39.90	2.259	20.5
42.37	2.133	24.0
52.19	1.753	19.1
55.86	1.646	17.7

---

Simulated powder X-ray diffraction pattern of Pm2Si7Ni12 for Cu Kα, 1.54184 Å, from a DFT-relaxed cell (GGA-PBE, Alexandria).

Atomic structure:
Unit cell a=9.2295 b=9.2295 c=3.7473 alpha=90.00 beta=90.00 gamma=120.00
Space group P-6 (No. 174)
One atom of each set of equivalent atoms:
Pm 0.0000 0.0000 0.0000 x1
Pm 0.3333 0.6667 0.5000 x1
Si 0.0548 0.6071 0.0000 x3
Si 0.2681 0.0310 0.5000 x3
Si 0.6667 0.3333 0.0000 x1
Ni 0.0358 0.7545 0.5000 x3
Ni 0.1143 0.3876 0.0000 x3
Ni 0.3891 0.1995 0.0000 x3
Ni 0.5579 0.1313 0.5000 x3

Main lines, low angle first (10° ≤ 2θ ≤ 80°):
2θ/deg	d [Å]	I/Imax
26.27	3.393	11.5
29.57	3.021	11.1
38.27	2.352	100.0
40.70	2.217	11.8
47.66	1.908	12.1
48.59	1.874	19.2
52.46	1.744	12.7
55.82	1.647	11.5

---

Simulated powder X-ray diffraction pattern of HoPaCl2 for Cu Kα, 1.54184 Å, from a DFT-relaxed cell (GGA-PBE, Alexandria).

Atomic structure:
Unit cell a=3.3394 b=3.3394 c=29.2253 alpha=90.00 beta=90.00 gamma=120.00
Space group R-3m (No. 166, hexagonal axes)
One atom of each set of equivalent atoms:
Ho 0.0000 0.0000 0.0000 x3
Pa 0.0000 0.0000 0.5000 x3
Cl 0.0000 0.0000 0.4015 x6

Main lines, low angle first (10° ≤ 2θ ≤ 80°):
2θ/deg	d [Å]	I/Imax
18.21	4.871	76.9
31.54	2.837	100.0
33.32	2.689	56.1
39.75	2.267	52.0
44.05	2.056	49.5
55.00	1.670	25.7
58.43	1.579	23.6
68.08	1.377	22.8

---

Simulated powder X-ray diffraction pattern of Pu6Ga for Cu Kα, 1.54184 Å, from a DFT-relaxed cell (GGA-PBE, Alexandria).

Atomic structure:
Unit cell a=6.6816 b=6.6816 c=6.6816 alpha=90.00 beta=90.00 gamma=90.00
Space group Im-3m (No. 229)
One atom of each set of equivalent atoms:
Pu 0.0000 0.2500 0.5000 x12
Ga 0.0000 0.0000 0.0000 x2

Main lines, low angle first (10° ≤ 2θ ≤ 80°):
2θ/deg	d [Å]	I/Imax
18.78	4.725	100.0
26.68	3.341	41.6
32.83	2.728	98.4
38.09	2.362	17.6
42.80	2.113	25.7
47.12	1.929	74.4
51.15	1.786	58.0
54.97	1.670	43.9

---

Simulated powder X-ray diffraction pattern of RbMgTlHg2 for Cu Kα, 1.54184 Å, from a DFT-relaxed cell (GGA-PBE, Alexandria).

Atomic structure:
Unit cell a=5.6355 b=5.6355 c=5.6363 alpha=90.00 beta=90.00 gamma=90.00
Space group P4/mmm (No. 123)
One atom of each set of equivalent atoms:
Rb 0.0000 0.0000 0.0000 x1
Mg 0.5000 0.5000 0.5000 x1
Tl 0.5000 0.5000 0.0000 x1
Hg 0.0000 0.5000 0.5000 x2

Main lines, low angle first (10° ≤ 2θ ≤ 80°):
2θ/deg	d [Å]	I/Imax
15.72	5.636	11.9
27.41	3.254	100.0
31.75	2.818	60.1
45.52	1.993	45.0
53.96	1.699	47.3
56.57	1.627	15.8
73.20	1.293	19.5
75.43	1.260	20.7

---

Simulated powder X-ray diffraction pattern of SrGa2Co2Ge for Cu Kα, 1.54184 Å, from a DFT-relaxed cell (GGA-PBE, Alexandria).

Atomic structure:
Unit cell a=4.3849 b=4.3849 c=5.9164 alpha=90.00 beta=90.00 gamma=90.00
Space group P4/mmm (No. 123)
One atom of each set of equivalent atoms:
Sr 0.0000 0.0000 0.0000 x1
Ga 0.5000 0.5000 0.2566 x2
Co 0.0000 0.5000 0.5000 x2
Ge 0.0000 0.0000 0.5000 x1

Main lines, low angle first (10° ≤ 2θ ≤ 80°):
2θ/deg	d [Å]	I/Imax
14.97	5.916	34.4
28.79	3.101	34.0
32.61	2.746	24.8
36.64	2.452	100.0
41.17	2.192	70.5
56.28	1.634	56.2
59.64	1.550	22.6
77.91	1.226	19.9

---

Simulated powder X-ray diffraction pattern of Cs4NpBr6 for Cu Kα, 1.54184 Å, from a DFT-relaxed cell (GGA-PBE, Alexandria).

Atomic structure:
Unit cell a=10.0414 b=10.0414 c=10.5076 alpha=90.00 beta=90.00 gamma=90.00
Space group P4/mnc (No. 128)
One atom of each set of equivalent atoms:
Cs 0.1734 0.3266 0.2500 x8
Np 0.0000 0.0000 0.0000 x2
Br 0.0000 0.0000 0.2830 x4
Br 0.0893 0.7112 0.0000 x8

Main lines, low angle first (10° ≤ 2θ ≤ 80°):
2θ/deg	d [Å]	I/Imax
12.19	7.260	77.4
12.47	7.100	19.5
26.10	3.414	100.0
26.96	3.307	26.1
28.10	3.175	69.4
34.13	2.627	27.5
40.16	2.245	19.6
44.78	2.024	33.3

---

Simulated powder X-ray diffraction pattern of Dy7Tl2Ir2 for Cu Kα, 1.54184 Å, from a DFT-relaxed cell (GGA-PBE, Alexandria).

Atomic structure:
Unit cell a=8.2505 b=10.9284 c=7.1075 alpha=90.00 beta=90.00 gamma=90.00
Space group Cmmm (No. 65)
One atom of each set of equivalent atoms:
Dy 0.0000 0.0000 0.0000 x2
Dy 0.0000 0.5000 0.2388 x4
Dy 0.2500 0.2500 0.2462 x8
Tl 0.1820 0.0000 0.5000 x4
Ir 0.0000 0.2871 0.0000 x4

Main lines, low angle first (10° ≤ 2θ ≤ 80°):
2θ/deg	d [Å]	I/Imax
20.50	4.332	37.0
24.96	3.568	46.8
28.54	3.127	31.9
32.78	2.732	54.9
36.98	2.431	41.0
37.23	2.415	100.0
41.61	2.170	23.0
43.14	2.097	19.9

---

Simulated powder X-ray diffraction pattern of SmDyW2N6 for Cu Kα, 1.54184 Å, from a DFT-relaxed cell (GGA-PBE, Alexandria).

Atomic structure:
Unit cell a=11.2923 b=9.7103 c=6.3936 alpha=90.00 beta=112.62 gamma=90.00
Space group C2/c (No. 15)
One atom of each set of equivalent atoms:
Sm 0.0000 0.0933 0.2500 x4
Dy 0.0000 0.2893 0.7500 x4
W 0.2093 0.4121 0.2180 x8
N 0.1126 0.1122 0.6605 x8
N 0.1289 0.2481 0.1508 x8
N 0.1479 0.4884 0.9222 x8

Main lines, low angle first (10° ≤ 2θ ≤ 80°):
2θ/deg	d [Å]	I/Imax
25.66	3.472	100.0
27.26	3.271	29.6
30.29	2.951	48.0
32.66	2.742	40.1
34.25	2.618	23.5
36.16	2.484	24.1
46.54	1.951	22.1
49.21	1.851	21.6

---

Simulated powder X-ray diffraction pattern of GaH2S for Cu Kα, 1.54184 Å, from a DFT-relaxed cell (GGA-PBE, Alexandria).

Atomic structure:
Unit cell a=5.3136 b=5.3136 c=7.5056 alpha=90.00 beta=90.00 gamma=90.00
Space group I4_1/amd (No. 141, origin choice 2)
One atom of each set of equivalent atoms:
Ga 0.0000 0.2500 0.3750 x4
H 0.0000 0.0000 0.0000 x8
S 0.0000 0.2500 0.8750 x4

Main lines, low angle first (10° ≤ 2θ ≤ 80°):
2θ/deg	d [Å]	I/Imax
20.48	4.337	12.6
33.75	2.656	100.0
39.80	2.265	10.4
48.48	1.878	16.4
53.15	1.723	4.0
60.37	1.533	34.3
64.46	1.446	3.2
70.98	1.328	10.6

---

Simulated powder X-ray diffraction pattern of AlSnAsRh for Cu Kα, 1.54184 Å, from a DFT-relaxed cell (GGA-PBE, Alexandria).

Atomic structure:
Unit cell a=3.0366 b=4.3849 c=11.1865 alpha=90.00 beta=90.00 gamma=90.00
Space group Amm2 (No. 38)
One atom of each set of equivalent atoms:
Al 0.0000 0.0000 0.0000 x2
Sn 0.0000 0.0000 0.7367 x2
As 0.5000 0.0000 0.4154 x2
Rh 0.5000 0.0000 0.1836 x2

Main lines, low angle first (10° ≤ 2θ ≤ 80°):
2θ/deg	d [Å]	I/Imax
15.84	5.593	48.1
31.49	2.841	31.4
32.00	2.797	28.6
36.89	2.436	100.0
41.17	2.192	29.8
43.63	2.074	27.3
44.02	2.057	24.3
61.83	1.501	25.1

---

Simulated powder X-ray diffraction pattern of PmPr3H8 for Cu Kα, 1.54184 Å, from a DFT-relaxed cell (GGA-PBE, Alexandria).

Atomic structure:
Unit cell a=5.5029 b=5.5029 c=5.5029 alpha=90.00 beta=90.00 gamma=90.00
Space group Pm-3m (No. 221)
One atom of each set of equivalent atoms:
Pm 0.0000 0.0000 0.0000 x1
Pr 0.0000 0.5000 0.5000 x3
H 0.2467 0.2467 0.2467 x8

Main lines, low angle first (10° ≤ 2θ ≤ 80°):
2θ/deg	d [Å]	I/Imax
28.09	3.177	100.0
32.54	2.751	48.9
46.69	1.946	38.5
55.37	1.659	45.0
58.06	1.589	12.7
68.16	1.376	6.1
75.27	1.262	18.0
77.59	1.230	16.4